# 1
Diffraction record for Tb2Tm2Al3. The X-ray powder pattern is theoretical, not measured: it uses the GGA-PBE geometry in Alexandria and Cu Ka.
Intensities are scaled so that the largest is 100.

Largest 10 diffraction maxima, low angle first, 10° ≤ 2θ ≤ 80°:
two_theta, d_spacing, intensity, (hkl)
25.3, 3.526, 41, 0 0 1
25.4, 3.503, 70, 0 8 0
33.9, 2.648, 39, 1 7 0
36.1, 2.485, 100, 0 8 1
42.7, 2.117, 23, 1 7 1
51.8, 1.764, 19, 2 0 0
58.5, 1.577, 16, 2 0 1
58.6, 1.575, 14, 0 8 2
62.1, 1.496, 18, 1 15 1
64.8, 1.439, 19, 2 8 1

Cell and atoms:
Lattice parameters (Å, degrees): 3.5295 28.0344 3.5262 90.00 90.00 90.00
Atoms (fractional coordinates):
Tb (0.0000, 0.1926, 0.0000)
Tb (0.0000, 0.8074, 0.0000)
Tb (0.5000, 0.3074, 0.0000)
Tb (0.5000, 0.6926, 0.0000)
Tm (0.0000, 0.0633, 0.0000)
Tm (0.0000, 0.9367, 0.0000)
Tm (0.5000, 0.4367, 0.0000)
Tm (0.5000, 0.5633, 0.0000)
Al (0.0000, 0.3726, 0.5000)
Al (0.0000, 0.5000, 0.5000)
Al (0.0000, 0.6274, 0.5000)
Al (0.5000, 0.0000, 0.5000)
Al (0.5000, 0.1274, 0.5000)
Al (0.5000, 0.8726, 0.5000)

# 2
Diffraction record for Tb3Tm4Al. The X-ray powder pattern is theoretical, not measured: it uses the GGA-PBE geometry in Alexandria and Cu Ka.
Intensities are scaled so that the largest is 100.

Largest 10 diffraction maxima, low angle first, 10° ≤ 2θ ≤ 80°:
two_theta, d_spacing, intensity, (hkl)
29.2, 3.062, 17, 1 0 3
31.8, 2.814, 100, 1 0 4
33.2, 2.701, 11, 0 0 7
36.3, 2.477, 42, 1 1 0
38.1, 2.363, 9, 0 0 8
50.0, 1.825, 14, 1 1 7
52.2, 1.752, 15, 2 0 0
53.6, 1.710, 13, 1 1 8
60.0, 1.543, 15, 1 0 11
62.4, 1.487, 29, 2 1 4

Cell and atoms:
Lattice parameters (Å, degrees): 3.5033 3.5033 18.9037 90.00 90.00 90.00
Atoms (fractional coordinates):
Tb (0.0000, 0.0000, 0.0000)
Tb (0.0000, 0.0000, 0.2658)
Tb (0.0000, 0.0000, 0.7342)
Tm (0.5000, 0.5000, 0.1332)
Tm (0.5000, 0.5000, 0.4003)
Tm (0.5000, 0.5000, 0.5997)
Tm (0.5000, 0.5000, 0.8668)
Al (0.0000, 0.0000, 0.5000)

# 3
Diffraction record for Tb5TmAl3. The X-ray powder pattern is theoretical, not measured: it uses the GGA-PBE geometry in Alexandria and Cu Ka.
Intensities are scaled so that the largest is 100.

Largest 10 diffraction maxima, low angle first, 10° ≤ 2θ ≤ 80°:
two_theta, d_spacing, intensity, (hkl)
19.5, 4.541, 14, 1 1 0
23.7, 3.749, 47, 1 1 1
33.4, 2.680, 100, 1 1 2
34.2, 2.622, 88, 3 0 0
42.1, 2.149, 11, 2 2 1
48.6, 1.874, 35, 2 2 2
55.3, 1.661, 17, 0 0 4
60.7, 1.525, 36, 4 1 2
61.2, 1.514, 16, 3 3 0
66.7, 1.403, 25, 3 0 4

Cell and atoms:
Lattice parameters (Å, degrees): 9.0830 9.0830 6.6406 90.00 90.00 120.00
Atoms (fractional coordinates):
Tb (0.0000, 0.3336, 0.2500)
Tb (0.0000, 0.6664, 0.7500)
Tb (0.3333, 0.6667, 0.0000)
Tb (0.3333, 0.6667, 0.5000)
Tb (0.3336, 0.0000, 0.2500)
Tb (0.3336, 0.3336, 0.7500)
Tb (0.6664, 0.0000, 0.7500)
Tb (0.6664, 0.6664, 0.2500)
Tb (0.6667, 0.3333, 0.0000)
Tb (0.6667, 0.3333, 0.5000)
Tm (0.0000, 0.0000, 0.0000)
Tm (0.0000, 0.0000, 0.5000)
Al (0.0000, 0.3309, 0.7500)
Al (0.0000, 0.6691, 0.2500)
Al (0.3309, 0.0000, 0.7500)
Al (0.3309, 0.3309, 0.2500)
Al (0.6691, 0.0000, 0.2500)
Al (0.6691, 0.6691, 0.7500)

# 4
Diffraction record for Tb6Tm2Al. The X-ray powder pattern is theoretical, not measured: it uses the GGA-PBE geometry in Alexandria and Cu Ka.
Intensities are scaled so that the largest is 100.

Largest 10 diffraction maxima, low angle first, 10° ≤ 2θ ≤ 80°:
two_theta, d_spacing, intensity, (hkl)
25.9, 3.438, 27, 2 1 1
31.4, 2.845, 71, 0 3 1
31.6, 2.836, 81, 3 0 1
32.0, 2.796, 47, 2 3 0
32.8, 2.734, 100, 1 3 1
33.7, 2.658, 57, 0 0 2
37.9, 2.376, 26, 3 3 0
47.2, 1.926, 32, 2 3 2
51.6, 1.771, 21, 3 3 2
58.9, 1.567, 26, 3 0 3

Cell and atoms:
Lattice parameters (Å, degrees): 10.0567 10.1020 5.3161 90.00 90.00 90.00
Atoms (fractional coordinates):
Tb (0.0375, 0.1855, 0.0000)
Tb (0.1248, 0.6215, 0.5000)
Tb (0.1852, 0.9566, 0.5000)
Tb (0.3148, 0.4566, 0.0000)
Tb (0.3752, 0.1215, 0.0000)
Tb (0.4625, 0.6855, 0.5000)
Tb (0.5375, 0.3145, 0.5000)
Tb (0.6248, 0.8785, 0.0000)
Tb (0.6852, 0.5434, 0.0000)
Tb (0.8148, 0.0434, 0.5000)
Tb (0.8752, 0.3785, 0.5000)
Tb (0.9625, 0.8145, 0.0000)
Tm (0.2115, 0.2831, 0.5000)
Tm (0.2885, 0.7831, 0.0000)
Tm (0.7115, 0.2169, 0.0000)
Tm (0.7885, 0.7169, 0.5000)
Al (0.0000, 0.5000, 0.0000)
Al (0.5000, 0.0000, 0.5000)